No. 1
The following is a calculated X-ray diffraction stick pattern of Dy2TmGe4O12. It was derived from a GGA-PBE-relaxed structure, using λ = 1.5418 Å (Cu Kα).

Top 8 peaks for 10 to 90 degrees two-theta, in order of falling intensity:
2theta, Rel. int., hkl
28.56, 100.0, 1 2 1
30.75, 77.3, 1 0 2
24.35, 67.5, -1 1 1
29.43, 64.2, 1 0 -2
33.90, 42.8, 0 2 -1
33.44, 35.8, -1 2 1
35.95, 31.8, 0 2 3
13.52, 30.3, 0 1 0

Structure:
Lattice parameters (Å, degrees): 4.992 7.202 8.082 67.31 88.70 80.56
Space group P-1 (No. 2)
Inequivalent atoms, fractional coordinates:
Dy  0.050  0.262  0.467 [2 per cell]
Tm  0.000  0.500  0.000 [1 per cell]
Ge  0.413  0.877  0.792 [2 per cell]
Ge  0.453  0.659  0.227 [2 per cell]
O  0.214  0.924  0.600 [2 per cell]
O  0.219  0.566  0.392 [2 per cell]
O  0.256  0.512  0.778 [2 per cell]
O  0.256  0.748  0.011 [2 per cell]
O  0.264  0.263  0.211 [2 per cell]
O  0.401  0.152  0.726 [2 per cell]


No. 2
The following is a calculated X-ray diffraction stick pattern of NaNdAg3Se4. It was derived from a GGA-PBE-relaxed structure, using λ = 1.5418 Å (Cu Kα).

Top 8 peaks for 10 to 90 degrees two-theta, in order of falling intensity:
2theta, Rel. int., hkl
39.48, 100.0, 2 2 0
23.87, 56.1, 1 1 1
13.72, 56.0, 1 0 0
71.60, 32.9, 4 2 2
30.97, 29.5, 2 1 0
46.66, 26.5, 3 1 1
41.98, 16.9, 2 2 1
57.06, 16.5, 4 0 0

Structure:
Lattice parameters (Å, degrees): 6.456 6.456 6.456 90.00 90.00 90.00
Space group P-43m (No. 215)
Inequivalent atoms, fractional coordinates:
Na  0.000  0.000  0.000 [1 per cell]
Nd  0.500  0.500  0.500 [1 per cell]
Ag  0.000  0.500  0.500 [3 per cell]
Se  0.253  0.253  0.253 [4 per cell]


No. 3
The following is a calculated X-ray diffraction stick pattern of SmHfBe2Ge2. It was derived from a GGA-PBE-relaxed structure, using λ = 1.5418 Å (Cu Kα).

Top 8 peaks for 10 to 90 degrees two-theta, in order of falling intensity:
2theta, Rel. int., hkl
35.38, 100.0, 0 1 2
26.77, 37.0, 1 0 0
47.28, 32.0, 1 1 0
60.41, 21.2, 2 0 2
68.37, 19.7, 1 1 4
80.08, 19.0, 1 2 2
29.14, 14.7, 0 1 1
54.34, 11.9, 1 0 4

Structure:
Lattice parameters (Å, degrees): 3.8454 3.8454 7.8341 90.00 90.00 120.00
Space group P-3m1 (No. 164)
Inequivalent atoms, fractional coordinates:
Sm  0.0000  0.0000  0.0000 [1 per cell]
Hf  0.0000  0.0000  0.5000 [1 per cell]
Be  0.3333  0.6667  0.2800 [2 per cell]
Ge  0.3333  0.6667  0.7328 [2 per cell]


No. 4
The following is a calculated X-ray diffraction stick pattern of Pr3Sn6Pt4. It was derived from a GGA-PBE-relaxed structure, using λ = 1.5418 Å (Cu Kα).

Top 8 peaks for 10 to 90 degrees two-theta, in order of falling intensity:
2theta, Rel. int., hkl
31.33, 100.0, 5 1 2
32.01, 72.0, 8 1 0
38.68, 59.7, 0 2 0
34.51, 49.1, 9 0 2
37.99, 37.6, 0 0 4
44.89, 37.3, 11 1 2
55.33, 27.8, 0 2 4
52.80, 26.0, 9 2 2

Structure:
Lattice parameters (Å, degrees): 27.971 4.655 9.475 90.00 90.00 90.00
Space group Pnma (No. 62)
Inequivalent atoms, fractional coordinates:
Pr  0.093  0.250  0.114 [4 per cell]
Pr  0.094  0.250  0.636 [4 per cell]
Pr  0.219  0.250  0.875 [4 per cell]
Sn  0.002  0.250  0.378 [4 per cell]
Sn  0.004  0.750  0.128 [4 per cell]
Sn  0.137  0.750  0.875 [4 per cell]
Sn  0.143  0.750  0.374 [4 per cell]
Sn  0.216  0.250  0.220 [4 per cell]
Sn  0.216  0.250  0.531 [4 per cell]
Pt  0.044  0.750  0.870 [4 per cell]
Pt  0.050  0.750  0.380 [4 per cell]
Pt  0.186  0.750  0.631 [4 per cell]
Pt  0.187  0.750  0.118 [4 per cell]


No. 5
The following is a calculated X-ray diffraction stick pattern of Li2PdPb. It was derived from a GGA-PBE-relaxed structure, using λ = 1.5418 Å (Cu Kα).

Top 8 peaks for 10 to 90 degrees two-theta, in order of falling intensity:
2theta, Rel. int., hkl
28.02, 100.0, 1 1 0
39.87, 89.9, 1 1 2
27.78, 51.1, 0 0 2
40.04, 44.4, 2 0 0
49.43, 42.7, 2 0 2
72.61, 31.3, 3 1 2
24.13, 27.3, 1 0 1
65.06, 18.9, 1 1 4

Structure:
Lattice parameters (Å, degrees): 4.504 4.504 6.422 90.00 90.00 90.00
Space group I4/mmm (No. 139)
Inequivalent atoms, fractional coordinates:
Li  0.000  0.500  0.250 [4 per cell]
Pd  0.000  0.000  0.000 [2 per cell]
Pb  0.000  0.000  0.500 [2 per cell]


No. 6
The following is a calculated X-ray diffraction stick pattern of YTmTl2Pt4. It was derived from a GGA-PBE-relaxed structure, using λ = 1.5418 Å (Cu Kα).

Top 8 peaks for 10 to 90 degrees two-theta, in order of falling intensity:
2theta, Rel. int., hkl
38.89, 100.0, 1 1 0
37.57, 82.4, 1 0 3
29.92, 30.6, 1 0 2
69.56, 27.5, 2 1 3
55.19, 27.5, 2 0 3
46.47, 20.2, 1 0 4
70.43, 18.0, 3 0 0
66.92, 15.7, 1 0 6

Structure:
Lattice parameters (Å, degrees): 4.6310 4.6310 8.9511 90.00 90.00 120.00
Space group P-6m2 (No. 187)
Inequivalent atoms, fractional coordinates:
Y  0.0000  0.0000  0.0000 [1 per cell]
Tm  0.3333  0.6667  0.5000 [1 per cell]
Tl  0.6667  0.3333  0.2510 [2 per cell]
Pt  0.0000  0.0000  0.3467 [2 per cell]
Pt  0.3333  0.6667  0.1563 [2 per cell]


No. 7
The following is a calculated X-ray diffraction stick pattern of BeCuB4. It was derived from a GGA-PBE-relaxed structure, using λ = 1.5418 Å (Cu Kα).

Top 8 peaks for 10 to 90 degrees two-theta, in order of falling intensity:
2theta, Rel. int., hkl
22.46, 100.0, 0 1 1
45.85, 93.9, 0 2 2
34.99, 45.7, 1 1 0
33.52, 41.8, 1 0 1
49.23, 24.5, 1 2 1
62.75, 22.5, 2 0 0
47.26, 15.8, 0 1 3
81.12, 15.6, 2 2 2

Structure:
Lattice parameters (Å, degrees): 2.961 5.130 6.224 90.00 90.00 90.00
Space group Immm (No. 71)
Inequivalent atoms, fractional coordinates:
Be  0.000  0.000  0.000 [2 per cell]
Cu  0.000  0.000  0.500 [2 per cell]
B  0.000  0.332  0.261 [8 per cell]


No. 8
The following is a calculated X-ray diffraction stick pattern of Pd3F2. It was derived from a GGA-PBE-relaxed structure, using λ = 1.5418 Å (Cu Kα).

Top 8 peaks for 10 to 90 degrees two-theta, in order of falling intensity:
2theta, Rel. int., hkl
37.73, 100.0, 1 1 3
46.91, 43.8, 3 0 0
26.57, 23.8, 1 1 0
61.71, 22.9, 2 2 3
80.96, 20.5, 4 1 3
74.39, 17.1, 3 0 6
61.29, 8.1, 1 1 6
54.12, 7.6, 0 0 6

Structure:
Lattice parameters (Å, degrees): 6.7091 6.7091 10.1673 90.00 90.00 120.00
Space group R-3c (No. 167, hexagonal axes)
Inequivalent atoms, fractional coordinates:
Pd  0.0000  0.3396  0.2500 [18 per cell]
F  0.0000  0.0000  0.1270 [12 per cell]


No. 9
The following is a calculated X-ray diffraction stick pattern of Nd2Ga3Hg3. It was derived from a GGA-PBE-relaxed structure, using λ = 1.5418 Å (Cu Kα).

Top 8 peaks for 10 to 90 degrees two-theta, in order of falling intensity:
2theta, Rel. int., hkl
35.87, 100.0, 0 1 2
36.29, 94.9, 2 1 0
36.68, 83.1, 2 1 -2
37.38, 58.1, 0 2 0
67.74, 32.4, 2 2 2
66.71, 29.5, 2 3 0
31.42, 27.9, 2 0 -2
24.22, 23.6, 1 1 -1

Structure:
Lattice parameters (Å, degrees): 6.573 4.811 6.676 90.00 118.56 90.00
Space group Pm (No. 6)
Inequivalent atoms, fractional coordinates:
Nd  0.000  0.000  0.000 [1 per cell]
Nd  0.333  0.500  0.682 [1 per cell]
Ga  0.522  0.000  0.037 [1 per cell]
Ga  0.835  0.500  0.656 [1 per cell]
Ga  0.976  0.000  0.498 [1 per cell]
Hg  0.350  0.500  0.179 [1 per cell]
Hg  0.523  0.000  0.507 [1 per cell]
Hg  0.834  0.500  0.191 [1 per cell]


No. 10
The following is a calculated X-ray diffraction stick pattern of U. It was derived from a GGA-PBE-relaxed structure, using λ = 1.5418 Å (Cu Kα).

Top 8 peaks for 10 to 90 degrees two-theta, in order of falling intensity:
2theta, Rel. int., hkl
36.81, 100.0, 2 1 0
40.47, 77.4, 2 1 1
63.78, 42.4, 3 2 1
32.80, 33.8, 2 0 0
61.20, 23.8, 3 2 0
80.63, 23.0, 4 2 1
68.77, 17.2, 4 0 0
78.31, 12.3, 4 2 0

Structure:
Lattice parameters (Å, degrees): 5.460 5.460 5.460 90.00 90.00 90.00
Space group Pm-3n (No. 223)
Inequivalent atoms, fractional coordinates:
U  0.000  0.000  0.000 [2 per cell]
U  0.000  0.250  0.500 [6 per cell]


No. 11
The following is a calculated X-ray diffraction stick pattern of Cu6AsS5Br. It was derived from a GGA-PBE-relaxed structure, using λ = 1.5418 Å (Cu Kα).

Top 8 peaks for 10 to 90 degrees two-theta, in order of falling intensity:
2theta, Rel. int., hkl
31.21, 100.0, 2 2 2
52.12, 54.8, 4 4 0
36.19, 35.7, 4 0 0
62.01, 34.0, 6 2 2
47.59, 13.3, 5 1 1
85.22, 11.8, 6 6 2
29.85, 7.9, 3 1 1
87.98, 7.5, 8 4 0

Structure:
Lattice parameters (Å, degrees): 9.928 9.928 9.928 90.00 90.00 90.00
Space group F-43m (No. 216)
Inequivalent atoms, fractional coordinates:
Cu  0.000  0.000  0.230 [24 per cell]
As  0.250  0.250  0.750 [4 per cell]
S  0.000  0.000  0.000 [4 per cell]
S  0.121  0.121  0.621 [16 per cell]
Br  0.250  0.250  0.250 [4 per cell]